This entry pairs a crystal structure of Li2Al5 with its simulated X-ray powder pattern. Radiation: Cu Kα (λ = 1.5418 Å). Structure: a cell relaxed with GGA-PBE.

The 10 most intense peaks (2θ from 5° to 70°), in order of rising 2θ:
2theta	Rel. int.	h k l
14.16	33.4	2 0 0
18.91	21.4	1 1 0
22.60	29.8	1 1 1
28.06	17.2	2 0 -2
36.95	45.6	3 1 -2
38.29	73.1	4 0 2
40.47	100.0	2 2 1
41.69	79.2	1 1 -3
41.93	80.0	5 1 -1
64.65	29.2	3 3 -2

Crystal structure
a b c (Å): 12.5098 5.0625 7.3005
angles (deg): 90.00 91.16 90.00
Space group C2/c (No. 15)
Unique sites:
Li (0.0698, 0.1588, 0.1076) (multiplicity 8)
Al (0.0000, 0.3453, 0.7500) (multiplicity 4)
Al (0.1442, 0.3415, 0.4595) (multiplicity 8)
Al (0.2115, 0.1636, 0.8233) (multiplicity 8)